(1)
Structure and computed X-ray powder pattern of Mg2In2Ga (a GGA-PBE-relaxed structure; λ = 1.5418 Å (Cu Kα)).

Structural model:
Unit cell a=4.8060 b=4.8060 c=12.0734 alpha=90.00 beta=90.00 gamma=120.00
Space group P6_3/mmc (No. 194)
Unique sites:
Mg: 0.3333 0.6667 0.1018 x4
In: 0.0000 0.0000 0.0000 x2
In: 0.3333 0.6667 0.7500 x2
Ga: 0.0000 0.0000 0.2500 x2

Largest 8 diffraction maxima, low angle first, 5° ≤ 2θ ≤ 70°:
Position (°2θ)  d/Å  I_rel
21.35  4.162  37
22.60  3.935  31
26.00  3.427  36
29.60  3.018  34
30.91  2.893  54
36.78  2.443  38
37.42  2.403  100
48.42  1.880  51

---

(2)
Structure and computed X-ray powder pattern of Mg15In4Ga (a GGA-PBE-relaxed structure; λ = 1.5418 Å (Cu Kα)).

Structural model:
Unit cell a=4.5262 b=4.5262 c=21.7412 alpha=90.00 beta=90.00 gamma=90.00
Space group P4/mmm (No. 123)
Unique sites:
Mg: 0.0000 0.0000 0.0000 x1
Mg: 0.0000 0.0000 0.1961 x2
Mg: 0.0000 0.0000 0.3987 x2
Mg: 0.0000 0.5000 0.0946 x4
Mg: 0.0000 0.5000 0.2975 x4
Mg: 0.0000 0.5000 0.5000 x2
In: 0.5000 0.5000 0.1962 x2
In: 0.5000 0.5000 0.3988 x2
Ga: 0.5000 0.5000 0.0000 x1

Largest 8 diffraction maxima, low angle first, 5° ≤ 2θ ≤ 70°:
Position (°2θ)  d/Å  I_rel
19.61  4.526  41
20.42  4.348  19
27.88  3.200  18
28.46  3.136  34
34.81  2.578  100
39.83  2.263  34
58.91  1.568  20
69.09  1.360  25

---

(3)
Structure and computed X-ray powder pattern of Mg2In5Ga6 (a GGA-PBE-relaxed structure; λ = 1.5418 Å (Cu Kα)).

Structural model:
Unit cell a=7.4441 b=7.4441 c=24.5671 alpha=90.00 beta=90.00 gamma=120.00
Space group R-3m (No. 166, hexagonal axes)
Unique sites:
Mg: 0.0000 0.0000 0.1112 x6
In: 0.0000 0.0000 0.0000 x3
In: 0.0000 0.0000 0.2603 x6
In: 0.0000 0.0000 0.4084 x6
Ga: 0.0000 0.3306 0.5000 x18

Largest 8 diffraction maxima, low angle first, 5° ≤ 2θ ≤ 70°:
Position (°2θ)  d/Å  I_rel
10.80  8.189  51
23.91  3.722  59
26.30  3.388  83
28.97  3.082  29
32.51  2.754  100
42.05  2.149  87
54.13  1.694  23
62.68  1.482  35